[1]
Computed powder XRD pattern of Sc2O3 for Cu Kα, from a DFT-relaxed cell (PBE, Alexandria).

Largest 12 diffraction maxima, low angle first, 2θ from 15° to 90°:
(0 2 2), 2θ = 26.19°, I = 149
(0 1 3), 2θ = 28.40°, I = 339
(1 2 2), 2θ = 31.00°, I = 1000
(2 0 0), 2θ = 32.93°, I = 269
(1 3 1), 2θ = 34.56°, I = 211
(1 3 2), 2θ = 38.00°, I = 210
(0 4 0), 2θ = 38.90°, I = 168
(2 0 4), 2θ = 49.46°, I = 149
(0 5 3), 2θ = 56.78°, I = 143
(2 0 5), 2θ = 57.08°, I = 124
(1 3 5), 2θ = 57.35°, I = 334
(3 3 0), 2θ = 59.08°, I = 248

Structural model:
Cell lengths 5.4382, 9.2710, 10.0224 Å; angles 90.00, 90.00, 90.00 degrees
Space group Pna2_1 (No. 33)
One atom of each set of equivalent atoms:
Sc 0.1824 0.0339 0.0000 (multiplicity 4)
Sc 0.1878 0.6607 0.0095 (multiplicity 4)
Sc 0.1933 0.3470 0.7834 (multiplicity 4)
Sc 0.1959 0.3565 0.2018 (multiplicity 4)
O 0.0135 0.8273 0.1288 (multiplicity 4)
O 0.0197 0.4838 0.6329 (multiplicity 4)
O 0.0415 0.1746 0.1433 (multiplicity 4)
O 0.1516 0.6665 0.3695 (multiplicity 4)
O 0.1541 0.9923 0.4099 (multiplicity 4)
O 0.1568 0.3394 0.4012 (multiplicity 4)

[2]
Computed powder XRD pattern of Na4Br3F for Cu Kα, from a DFT-relaxed cell (PBE, Alexandria).

Largest 12 diffraction maxima, low angle first, 2θ from 15° to 90°:
(1 0 0), 2θ = 15.22°, I = 156
(1 1 0), 2θ = 21.59°, I = 139
(1 1 1), 2θ = 26.52°, I = 417
(2 0 0), 2θ = 30.71°, I = 1000
(2 1 0), 2θ = 34.45°, I = 85
(2 2 0), 2θ = 43.99°, I = 713
(3 1 1), 2θ = 52.10°, I = 185
(2 2 2), 2θ = 54.61°, I = 243
(4 0 0), 2θ = 63.97°, I = 110
(3 3 1), 2θ = 70.51°, I = 78
(4 2 0), 2θ = 72.62°, I = 295
(4 2 2), 2θ = 80.89°, I = 217

Structural model:
Cell lengths 5.8220, 5.8220, 5.8220 Å; angles 90.00, 90.00, 90.00 degrees
Space group Pm-3m (No. 221)
One atom of each set of equivalent atoms:
Na 0.0000 0.0000 0.0000 (multiplicity 1)
Na 0.0000 0.5000 0.5000 (multiplicity 3)
Br 0.0000 0.0000 0.5000 (multiplicity 3)
F 0.5000 0.5000 0.5000 (multiplicity 1)

[3]
Computed powder XRD pattern of NbSnOs for Cu Kα, from a DFT-relaxed cell (PBE, Alexandria).

Largest 12 diffraction maxima, low angle first, 2θ from 15° to 90°:
(0 1 1), 2θ = 31.86°, I = 347
(1 1 0), 2θ = 32.03°, I = 165
(1 1 -1), 2θ = 33.78°, I = 134
(2 0 1), 2θ = 37.37°, I = 1000
(0 1 2), 2θ = 41.43°, I = 625
(2 1 -1), 2θ = 41.96°, I = 798
(0 0 3), 2θ = 45.45°, I = 179
(0 2 0), 2θ = 58.00°, I = 164
(4 0 -1), 2θ = 61.48°, I = 137
(2 1 3), 2θ = 69.79°, I = 311
(2 2 1), 2θ = 71.05°, I = 311
(4 1 -3), 2θ = 76.86°, I = 205

Structural model:
Cell lengths 6.0332, 3.1805, 6.1720 Å; angles 90.00, 104.09, 90.00 degrees
Space group Pm (No. 6)
One atom of each set of equivalent atoms:
Nb 0.0000 0.0000 0.0000 (multiplicity 1)
Nb 0.4983 0.0000 0.0066 (multiplicity 1)
Sn 0.3390 0.5000 0.3587 (multiplicity 1)
Sn 0.8597 0.0000 0.4453 (multiplicity 1)
Os 0.1890 0.5000 0.7474 (multiplicity 1)
Os 0.6831 0.5000 0.7547 (multiplicity 1)

[4]
Computed powder XRD pattern of Mg3Si2Ni2 for Cu Kα, from a DFT-relaxed cell (PBE, Alexandria).

Largest 12 diffraction maxima, low angle first, 2θ from 15° to 90°:
(1 0 0), 2θ = 17.21°, I = 392
(1 1 1), 2θ = 22.55°, I = 454
(1 0 2), 2θ = 22.72°, I = 202
(0 2 0), 2θ = 25.01°, I = 248
(1 1 3), 2θ = 30.91°, I = 196
(1 2 3), 2θ = 38.03°, I = 250
(0 2 4), 2θ = 39.19°, I = 289
(1 3 0), 2θ = 41.91°, I = 351
(1 2 4), 2θ = 43.09°, I = 225
(2 1 3), 2θ = 43.65°, I = 1000
(0 0 6), 2θ = 45.18°, I = 237
(1 3 3), 2θ = 47.90°, I = 197

Structural model:
Cell lengths 5.1511, 7.1211, 12.0404 Å; angles 90.00, 90.00, 90.00 degrees
Space group Pbcm (No. 57)
One atom of each set of equivalent atoms:
Mg 0.1327 0.1118 0.1012 (multiplicity 8)
Mg 0.3628 0.7350 0.7500 (multiplicity 4)
Si 0.1456 0.0884 0.7500 (multiplicity 4)
Si 0.3734 0.7500 0.0000 (multiplicity 4)
Ni 0.3638 0.0311 0.5888 (multiplicity 8)

[5]
Computed powder XRD pattern of HfRe3Au for Cu Kα, from a DFT-relaxed cell (PBE, Alexandria).

Largest 12 diffraction maxima, low angle first, 2θ from 15° to 90°:
(1 0 0), 2θ = 18.74°, I = 183
(1 1 0), 2θ = 26.63°, I = 213
(1 1 1), 2θ = 32.76°, I = 762
(2 0 0), 2θ = 38.01°, I = 1000
(2 1 0), 2θ = 42.70°, I = 87
(2 1 1), 2θ = 47.01°, I = 94
(2 2 0), 2θ = 54.84°, I = 702
(3 0 0), 2θ = 58.48°, I = 43
(3 1 1), 2θ = 65.37°, I = 321
(2 2 2), 2θ = 68.67°, I = 240
(3 2 1), 2θ = 75.07°, I = 48
(4 0 0), 2θ = 81.28°, I = 115

Structural model:
Cell lengths 4.7346, 4.7346, 4.7346 Å; angles 90.00, 90.00, 90.00 degrees
Space group Pm-3m (No. 221)
One atom of each set of equivalent atoms:
Hf 0.0000 0.0000 0.0000 (multiplicity 1)
Re 0.0000 0.0000 0.5000 (multiplicity 3)
Au 0.5000 0.5000 0.5000 (multiplicity 1)

[6]
Computed powder XRD pattern of LaZrSc for Cu Kα, from a DFT-relaxed cell (PBE, Alexandria).

Largest 12 diffraction maxima, low angle first, 2θ from 15° to 90°:
(0 0 6), 2θ = 20.57°, I = 96
(1 0 1), 2θ = 24.42°, I = 328
(0 0 8), 2θ = 27.55°, I = 59
(1 1 0), 2θ = 34.39°, I = 1000
(1 1 6), 2θ = 40.46°, I = 68
(1 1 8), 2θ = 44.66°, I = 64
(1 0 11), 2θ = 45.74°, I = 79
(2 0 0), 2θ = 49.52°, I = 131
(2 1 1), 2θ = 55.96°, I = 69
(1 1 14), 2θ = 61.48°, I = 59
(2 1 7), 2θ = 61.66°, I = 220
(3 1 0), 2θ = 82.91°, I = 103

Structural model:
Cell lengths 3.6816, 3.6816, 25.9043 Å; angles 90.00, 90.00, 90.00 degrees
Space group I4/mmm (No. 139)
One atom of each set of equivalent atoms:
La 0.0000 0.0000 0.0621 (multiplicity 4)
Zr 0.0000 0.0000 0.2229 (multiplicity 4)
Sc 0.0000 0.0000 0.3447 (multiplicity 4)

[7]
Computed powder XRD pattern of Rb2HfTe2S6 for Cu Kα, from a DFT-relaxed cell (PBE, Alexandria).

Largest 12 diffraction maxima, low angle first, 2θ from 15° to 90°:
(1 1 1), 2θ = 21.06°, I = 1000
(3 1 -1), 2θ = 21.80°, I = 806
(0 2 0), 2θ = 25.23°, I = 898
(1 1 -2), 2θ = 27.55°, I = 312
(3 1 -2), 2θ = 28.13°, I = 677
(5 1 -2), 2θ = 33.95°, I = 200
(4 2 0), 2θ = 35.98°, I = 511
(5 1 1), 2θ = 41.64°, I = 358
(6 0 -3), 2θ = 42.07°, I = 289
(7 1 -2), 2θ = 43.15°, I = 188
(3 3 -2), 2θ = 46.32°, I = 275
(0 4 0), 2θ = 51.81°, I = 200

Structural model:
Cell lengths 15.6409, 7.0570, 7.4475 Å; angles 90.00, 115.40, 90.00 degrees
Space group C2/m (No. 12)
One atom of each set of equivalent atoms:
Rb 0.2364 0.0000 0.2412 (multiplicity 4)
Hf 0.0000 0.0000 0.5000 (multiplicity 2)
Te 0.0190 0.5000 0.8203 (multiplicity 4)
S 0.0838 0.2545 0.3790 (multiplicity 8)
S 0.1620 0.0000 0.7528 (multiplicity 4)

[8]
Computed powder XRD pattern of K3Cl8 for Cu Kα, from a DFT-relaxed cell (PBE, Alexandria).

Largest 12 diffraction maxima, low angle first, 2θ from 15° to 90°:
(0 0 4), 2θ = 18.60°, I = 295
(0 0 5), 2θ = 23.30°, I = 386
(1 1 -2), 2θ = 24.86°, I = 384
(1 0 -3), 2θ = 26.40°, I = 937
(1 1 4), 2θ = 27.08°, I = 1000
(0 0 6), 2θ = 28.03°, I = 231
(0 1 -4), 2θ = 29.49°, I = 225
(1 -1 1), 2θ = 37.77°, I = 274
(1 1 -6), 2θ = 37.99°, I = 478
(2 1 1), 2θ = 38.31°, I = 236
(0 2 3), 2θ = 44.67°, I = 260
(0 0 10), 2θ = 47.65°, I = 192

Structural model:
Cell lengths 4.7003, 4.7861, 19.2285 Å; angles 83.55, 84.53, 60.95 degrees
Space group P-1 (No. 2)
One atom of each set of equivalent atoms:
K 0.0000 0.0000 0.0000 (multiplicity 1)
K 0.3669 0.3886 0.8147 (multiplicity 2)
Cl 0.1482 0.5138 0.3008 (multiplicity 2)
Cl 0.3124 0.3025 0.0917 (multiplicity 2)
Cl 0.3246 0.9605 0.7062 (multiplicity 2)
Cl 0.4150 0.7379 0.4970 (multiplicity 2)